This entry pairs a crystal structure of KPPd2S4 with its theoretical powder diffractogram. Radiation: Cu Kα (λ = 1.5418 Å). Structure: a GGA-PBE-relaxed structure.

The 10 most intense peaks (2θ = 10–90°), sorted by position:
2θ (°)  I (rel.)  h k l
17.61  57  0 1 1
19.34  43  1 1 0
27.29  25  0 2 0
27.66  24  2 0 0
29.83  100  1 1 2
32.75  35  1 2 1
36.79  57  0 1 3
39.25  59  2 2 0
46.45  34  1 2 3
50.28  30  3 1 2

Cell and atoms:
```
data_KPPd2S4
_cell_length_a 6.449
_cell_length_b 6.535
_cell_length_c 7.906
_cell_angle_alpha 90.00
_cell_angle_beta 90.00
_cell_angle_gamma 90.00
_space_group_name_H-M_alt 'I 2 2 2'
_space_group_IT_number 23
loop_
_space_group_symop_operation_xyz
'x,y,z'
'-x,-y,z'
'x,-y,-z'
'-x,y,-z'
'x+1/2,y+1/2,z+1/2'
'-x+1/2,-y+1/2,z+1/2'
'x+1/2,-y+1/2,-z+1/2'
'-x+1/2,y+1/2,-z+1/2'
loop_
_atom_site_label
_atom_site_type_symbol
_atom_site_fract_x
_atom_site_fract_y
_atom_site_fract_z
_atom_site_occupancy
K1 K 0.000 0.000 0.000 1
P1 P 0.000 0.000 0.500 1
Pd1 Pd 0.000 0.500 0.175 1
S1 S 0.185 0.186 0.349 1
```